Calculated PXRD pattern of Na3HfScSi2SO12 for CuKα, from a crystal structure in the Materials Project, relaxed with PBE.
Intensities are scaled so that the largest is 100.

Structural model:
a b c (Å): 9.143 9.143 9.259
angles (deg): 119.91 119.91 59.92
Element x y z (fractional)
Na1 0.064 0.936 0.500
Na2 0.157 0.691 0.757
Na3 0.291 0.432 0.005
Na4 0.432 0.291 0.505
Na5 0.691 0.157 0.257
Na6 0.936 0.064 0.000
Hf1 0.336 0.856 0.214
Hf2 0.856 0.336 0.714
Sc1 0.038 0.550 0.329
Sc2 0.550 0.038 0.829
Si1 0.153 0.242 0.529
Si2 0.242 0.153 0.029
Si3 0.742 0.946 0.534
Si4 0.946 0.742 0.034
S1 0.445 0.648 0.520
S2 0.648 0.445 0.020
O1 0.060 0.182 0.853
O2 0.130 0.745 0.039
O3 0.132 0.419 0.509
O4 0.182 0.060 0.353
O5 0.205 0.325 0.202
O6 0.255 0.970 0.039
O7 0.288 0.629 0.512
O8 0.325 0.205 0.702
O9 0.413 0.666 0.355
O10 0.419 0.132 0.009
O11 0.476 0.806 0.674
O12 0.479 0.600 0.039
O13 0.560 0.911 0.365
O14 0.600 0.479 0.539
O15 0.629 0.288 0.012
O16 0.666 0.413 0.855
O17 0.716 0.987 0.713
O18 0.745 0.130 0.539
O19 0.784 0.929 0.015
O20 0.806 0.476 0.174
O21 0.911 0.560 0.865
O22 0.929 0.784 0.515
O23 0.970 0.255 0.539
O24 0.987 0.716 0.213

Principal peaks in the range 2θ from 10° to 80°, in order of rising 2θ:
13.63°, d = 6.496 Å, rel. 100; 19.23°, d = 4.616 Å, rel. 93; 19.42°, d = 4.570 Å, rel. 78; 22.71°, d = 3.915 Å, rel. 21; 23.80°, d = 3.739 Å, rel. 25; 27.44°, d = 3.251 Å, rel. 30; 30.58°, d = 2.924 Å, rel. 35; 30.71°, d = 2.911 Å, rel. 73; 30.91°, d = 2.893 Å, rel. 27; 33.96°, d = 2.640 Å, rel. 73; 46.49°, d = 1.953 Å, rel. 25; 53.01°, d = 1.727 Å, rel. 30